Record 1
Starting from a crystal structure in Alexandria, relaxed with PBE, the X-ray powder pattern of MgTi2O4 was computed for Cu Kα.
Kinematic intensities with the Lorentz-polarization factor, no thermal factor.

Main lines, most intense first (2θ = 10–80°):
d/Å, I/Imax
2.576, 100.0
1.510, 62.3
2.136, 58.7
4.933, 56.7
1.644, 37.5
3.021, 13.5
1.303, 10.0
1.233, 8.6
1.444, 7.2
2.466, 6.3

Structure:
```
MgTi2O4
1.0
0.000 4.272 4.272
4.272 0.000 4.272
4.272 4.272 0.000
Mg Ti O
2 4 8
Direct
0.125 0.125 0.125
0.875 0.875 0.875
0.000 0.500 0.500
0.500 0.000 0.500
0.500 0.500 0.000
0.500 0.500 0.500
0.258 0.258 0.258
0.258 0.258 0.725
0.258 0.725 0.258
0.275 0.742 0.742
0.725 0.258 0.258
0.742 0.275 0.742
0.742 0.742 0.275
0.742 0.742 0.742
```

***

Record 2
Starting from a crystal structure in Alexandria, relaxed with PBE, the X-ray powder pattern of Ce4Ni2Hg5 was computed for Cu Kα.
Kinematic intensities with the Lorentz-polarization factor, no thermal factor.

Main lines, most intense first (2θ = 10–80°):
d/Å, I/Imax
2.665, 100.0
2.551, 85.5
2.876, 84.3
2.386, 83.8
2.738, 83.2
2.647, 76.6
2.594, 71.6
2.520, 55.9
1.806, 48.4
2.083, 36.4

Structure:
```
Ce4Ni2Hg5
1.0
7.802 0.000 0.000
0.000 3.612 0.000
-0.665 0.000 9.544
Ce Ni Hg
4 2 5
Direct
0.184 0.000 0.343
0.217 0.000 0.935
0.783 0.000 0.065
0.816 0.000 0.657
0.071 0.500 0.129
0.929 0.500 0.871
0.160 0.500 0.642
0.449 0.500 0.166
0.500 0.500 0.500
0.551 0.500 0.834
0.840 0.500 0.358
```

***

Record 3
Starting from a crystal structure in Alexandria, relaxed with PBE, the X-ray powder pattern of Bi4Te2Br2O9 was computed for Cu Kα.
Kinematic intensities with the Lorentz-polarization factor, no thermal factor.

Main lines, most intense first (2θ = 10–80°):
d/Å, I/Imax
3.059, 100.0
2.785, 35.7
1.656, 33.8
1.831, 20.0
1.969, 19.8
3.650, 11.0
2.429, 9.8
1.530, 9.8
2.112, 9.5
1.267, 7.2

Structure:
```
Bi4Te2Br2O9
1.0
5.569 0.000 0.000
0.000 5.569 0.000
0.000 0.000 9.717
Bi Te Br O
4 2 2 9
Direct
0.000 0.000 0.000
0.000 0.500 0.733
0.500 0.000 0.733
0.500 0.500 0.986
0.000 0.000 0.439
0.500 0.500 0.489
0.000 0.500 0.181
0.500 0.000 0.181
0.230 0.230 0.531
0.230 0.770 0.531
0.243 0.243 0.871
0.243 0.757 0.871
0.500 0.500 0.682
0.757 0.243 0.871
0.757 0.757 0.871
0.770 0.230 0.531
0.770 0.770 0.531
```